Starting from a crystal structure in Alexandria, relaxed with GGA+U, the powder XRD pattern of UInNi2O6 was simulated for Cu Kα (weighted mean of Kα1 and Kα2).
No peak broadening, texture or thermal motion is included.

Largest 8 diffraction maxima, in order of rising 2θ, 2θ = 5–70°:
| 2θ (°) | Rel. int. | hkl |
| --- | --- | --- |
| 20.59 | 51 | 1 1 0 |
| 21.50 | 100 | 0 0 1 |
| 29.29 | 69 | 2 0 0 |
| 36.62 | 56 | 2 0 1 |
| 41.90 | 44 | 2 2 0 |
| 47.56 | 47 | 2 2 1 |
| 53.57 | 26 | 2 0 2 |
| 62.23 | 25 | 2 2 2 |

Crystal structure
a b c (Å): 6.0991 6.0991 4.1325
angles (deg): 90.00 90.00 90.00
Sites, in units of the cell vectors:
U: 0.0000 0.0000 0.0000
In: 0.5000 0.5000 0.9981
Ni: 0.0000 0.5000 0.0026
Ni: 0.5000 0.0000 0.0026
O: 0.0000 0.0000 0.5001
O: 0.2416 0.2416 0.0007
O: 0.2416 0.7584 0.0007
O: 0.5000 0.5000 0.4985
O: 0.7584 0.2416 0.0007
O: 0.7584 0.7584 0.0007